No. 1
HfReW14: theoretical powder diffractogram (Cu Kα), based on a cell relaxed with PBE.

Structural model:
abc: 5.527 5.527 9.041
angles: 90.00 90.00 109.19
Fractional positions:
Hf: 0.000 0.000 0.000
Re: 0.500 0.500 0.000
W: 0.000 0.000 0.500
W: 0.000 0.500 0.000
W: 0.000 0.500 0.500
W: 0.250 0.750 0.250
W: 0.250 0.750 0.750
W: 0.253 0.253 0.254
W: 0.253 0.253 0.746
W: 0.500 0.000 0.000
W: 0.500 0.000 0.500
W: 0.500 0.500 0.500
W: 0.747 0.747 0.254
W: 0.747 0.747 0.746
W: 0.750 0.250 0.250
W: 0.750 0.250 0.750

The 6 most intense peaks (2θ = 10–80°), by intensity:
- 2θ 39.88, rel. 100
- 2θ 72.40, rel. 28
- 2θ 40.03, rel. 20
- 2θ 72.61, rel. 14
- 2θ 57.78, rel. 14
- 2θ 57.57, rel. 7

***

No. 2
YHf2Re9: theoretical powder diffractogram (Cu Kα), based on a cell relaxed with PBE.

Structural model:
abc: 9.260 9.260 9.260
angles: 33.12 33.12 33.12
Fractional positions:
Y: 0.000 0.000 0.000
Hf: 0.143 0.143 0.143
Hf: 0.857 0.857 0.857
Re: 0.077 0.590 0.590
Re: 0.336 0.336 0.336
Re: 0.410 0.410 0.923
Re: 0.410 0.923 0.410
Re: 0.500 0.500 0.500
Re: 0.590 0.077 0.590
Re: 0.590 0.590 0.077
Re: 0.664 0.664 0.664
Re: 0.923 0.410 0.410

The 6 most intense peaks (2θ = 10–80°), by intensity:
- 2θ 39.90, rel. 100
- 2θ 43.17, rel. 46
- 2θ 39.59, rel. 36
- 2θ 41.30, rel. 27
- 2θ 71.49, rel. 26
- 2θ 19.71, rel. 25